No. 1
Calculated XRD peak list
Compound: KAc2VO5
Radiation: Cu Ka
Structure: a DFT-relaxed cell (GGA+U, Alexandria)
No peak broadening, texture or thermal motion is included.

Peak list (10 most intense, 10 to 90 degrees two-theta, sorted by position)
d/Å, 2theta, intensity
5.863, 15.11, 94
3.244, 27.50, 48
3.084, 28.95, 86
2.931, 30.50, 33
2.838, 31.52, 100
2.175, 41.52, 61
1.759, 51.98, 21
1.685, 54.45, 37
1.674, 54.84, 20
1.508, 61.47, 26

Cell and atoms:
```
KAc2VO5
1.0
7.254 0.000 0.000
0.000 7.254 0.000
0.000 0.000 5.863
K Ac V O
2 4 2 10
Direct
0.000 0.000 0.000
0.500 0.500 0.000
0.182 0.318 0.500
0.318 0.818 0.500
0.682 0.182 0.500
0.818 0.682 0.500
0.000 0.500 0.000
0.500 0.000 0.000
0.000 0.000 0.500
0.126 0.626 0.236
0.126 0.626 0.764
0.374 0.126 0.236
0.374 0.126 0.764
0.500 0.500 0.500
0.626 0.874 0.236
0.626 0.874 0.764
0.874 0.374 0.236
0.874 0.374 0.764
```

---

No. 2
Calculated XRD peak list
Compound: K2AcW3O12
Radiation: Cu Ka
Structure: a DFT-relaxed cell (GGA+U, Alexandria)
No peak broadening, texture or thermal motion is included.

Peak list (10 most intense, 10 to 90 degrees two-theta, sorted by position)
d/Å, 2theta, intensity
6.309, 14.04, 23
6.211, 14.26, 100
3.281, 27.18, 22
3.253, 27.42, 64
3.239, 27.54, 24
3.155, 28.29, 31
3.105, 28.75, 67
2.700, 33.18, 28
1.898, 47.93, 28
1.626, 56.59, 23

Cell and atoms:
```
K2AcW3O12
1.0
3.796 2.192 6.309
-3.796 2.192 6.309
0.000 -4.383 6.309
K Ac W O
2 1 3 12
Direct
0.145 0.145 0.145
0.855 0.855 0.855
0.500 0.500 0.500
0.000 0.500 0.500
0.500 0.000 0.500
0.500 0.500 0.000
0.104 0.599 0.599
0.213 0.213 0.574
0.213 0.574 0.213
0.401 0.401 0.896
0.401 0.896 0.401
0.426 0.787 0.787
0.574 0.213 0.213
0.599 0.104 0.599
0.599 0.599 0.104
0.787 0.426 0.787
0.787 0.787 0.426
0.896 0.401 0.401
```